(1)
Theoretical powder XRD pattern
Compound: Na4Np3ScN8
Radiation: Cu Ka
Structure: a PBE-relaxed structure
Intensities are scaled so that the largest is 1000.

Top 10 peaks for 2θ = 10–90°, low angle first:
2theta  intensity
15.7  1000
15.9  215
30.7  587
31.7  229
32.1  611
37.1  670
40.5  204
53.2  214
53.7  231
56.3  240

Structural model:
abc: 6.886 6.886 6.886
angles: 59.42 59.42 59.42
Atoms (fractional coordinates):
Na 0.000 0.000 0.000
Na 0.000 0.500 0.500
Na 0.500 0.000 0.500
Na 0.500 0.500 0.000
Np 0.000 0.000 0.500
Np 0.000 0.500 0.000
Np 0.500 0.000 0.000
Sc 0.500 0.500 0.500
N 0.213 0.734 0.734
N 0.229 0.229 0.229
N 0.266 0.266 0.787
N 0.266 0.787 0.266
N 0.734 0.213 0.734
N 0.734 0.734 0.213
N 0.771 0.771 0.771
N 0.787 0.266 0.266

***

(2)
Theoretical powder XRD pattern
Compound: NaSm2NpN4
Radiation: Cu Ka
Structure: a PBE-relaxed structure
Intensities are scaled so that the largest is 1000.

Top 10 peaks for 2θ = 10–90°, low angle first:
2theta  intensity
20.2  527
31.3  1000
35.2  256
36.9  474
42.4  161
51.9  334
53.1  163
60.8  175
63.0  292
65.4  165

Structural model:
abc: 6.153 4.874 6.153
angles: 66.66 46.67 66.67
Atoms (fractional coordinates):
Na 0.000 0.000 0.000
Sm 0.251 0.251 0.249
Sm 0.751 0.751 0.749
Np 0.502 0.502 0.498
N 0.296 0.706 0.294
N 0.499 0.993 0.501
N 0.706 0.296 0.704
N 0.993 0.499 0.007

***

(3)
Theoretical powder XRD pattern
Compound: NaSrNpN3
Radiation: Cu Ka
Structure: a PBE-relaxed structure
Intensities are scaled so that the largest is 1000.

Top 10 peaks for 2θ = 10–90°, low angle first:
2theta  intensity
17.4  1000
21.2  367
29.5  619
31.2  332
31.9  325
32.9  811
33.1  235
40.1  251
52.3  180
53.2  216

Structural model:
abc: 6.768 6.768 5.865
angles: 95.02 95.02 129.88
Atoms (fractional coordinates):
Na 0.068 0.932 0.750
Na 0.932 0.068 0.250
Sr 0.257 0.743 0.250
Sr 0.743 0.257 0.750
Np 0.430 0.570 0.750
Np 0.570 0.430 0.250
N 0.246 0.363 0.001
N 0.267 0.733 0.750
N 0.363 0.246 0.501
N 0.637 0.754 0.499
N 0.733 0.267 0.250
N 0.754 0.637 0.999